Na3IO: computed powder diffraction line list (a wavelength of 1.5418 Å), based on a crystal structure in the Materials Project, relaxed with PBE.
Peak positions follow from Bragg's law for the DFT cell and can differ from measured ones.

Most intense lines, 2θ = 10–80°, sorted by position:
22.06 deg, intensity 40
26.25 deg, intensity 100
32.27 deg, intensity 31
34.52 deg, intensity 45
37.47 deg, intensity 41
46.29 deg, intensity 29

Structural model:
Cell: 6.7979 6.7979 16.5814 Å, 90.00 90.00 120.00°
Fractional positions:
Na 0.0573 0.5286 0.2500
Na 0.1664 0.3328 0.0791
Na 0.1664 0.3328 0.4209
Na 0.1664 0.8336 0.0791
Na 0.1664 0.8336 0.4209
Na 0.3328 0.1664 0.5791
Na 0.3328 0.1664 0.9209
Na 0.4714 0.5286 0.2500
Na 0.4714 0.9427 0.2500
Na 0.5286 0.0573 0.7500
Na 0.5286 0.4714 0.7500
Na 0.6672 0.8336 0.0791
Na 0.6672 0.8336 0.4209
Na 0.8336 0.1664 0.5791
Na 0.8336 0.1664 0.9209
Na 0.8336 0.6672 0.5791
Na 0.8336 0.6672 0.9209
Na 0.9427 0.4714 0.7500
I 0.0000 0.0000 0.2500
I 0.0000 0.0000 0.7500
I 0.3333 0.6667 0.5995
I 0.3333 0.6667 0.9005
I 0.6667 0.3333 0.0995
I 0.6667 0.3333 0.4005
O 0.0000 0.0000 0.0000
O 0.0000 0.0000 0.5000
O 0.3333 0.6667 0.1495
O 0.3333 0.6667 0.3505
O 0.6667 0.3333 0.6495
O 0.6667 0.3333 0.8505

Dy4Co: computed powder diffraction line list (a wavelength of 1.5418 Å), based on a crystal structure in the Materials Project, relaxed with PBE.
Peak positions follow from Bragg's law for the DFT cell and can differ from measured ones.

Most intense lines, 2θ = 10–80°, sorted by position:
29.59 deg, intensity 100
34.29 deg, intensity 40
45.04 deg, intensity 11
49.28 deg, intensity 41
58.54 deg, intensity 38
79.97 deg, intensity 13

Structural model:
Cell: 7.3958 7.3958 7.3958 Å, 60.00 60.00 60.00°
Fractional positions:
Dy 0.2171 0.7610 0.7610
Dy 0.2390 0.2390 0.2390
Dy 0.2390 0.2390 0.7829
Dy 0.2390 0.7829 0.2390
Dy 0.7610 0.2171 0.7610
Dy 0.7610 0.7610 0.2171
Dy 0.7610 0.7610 0.7610
Dy 0.7829 0.2390 0.2390
Co 0.3750 0.3750 0.3750
Co 0.6250 0.6250 0.6250

Ba: computed powder diffraction line list (a wavelength of 1.5418 Å), based on a crystal structure in the Materials Project, relaxed with PBE.
Peak positions follow from Bragg's law for the DFT cell and can differ from measured ones.

Most intense lines, 2θ = 10–80°, sorted by position:
21.29 deg, intensity 29
23.56 deg, intensity 33
26.64 deg, intensity 100
31.97 deg, intensity 21
43.36 deg, intensity 28
46.45 deg, intensity 30

Structural model:
Cell: 7.0053 7.0053 7.0053 Å, 106.89 106.89 114.77°
Fractional positions:
Ba 0.1750 0.6750 0.8500
Ba 0.3250 0.1750 0.5000
Ba 0.6750 0.8250 0.5000
Ba 0.8250 0.3250 0.1500

Ti2SbP3O12: computed powder diffraction line list (a wavelength of 1.5418 Å), based on a crystal structure in the Materials Project, relaxed with PBE.
Peak positions follow from Bragg's law for the DFT cell and can differ from measured ones.

Most intense lines, 2θ = 10–80°, sorted by position:
20.43 deg, intensity 88
23.72 deg, intensity 66
24.97 deg, intensity 31
31.71 deg, intensity 100
35.78 deg, intensity 34
48.55 deg, intensity 32

Structural model:
Cell: 8.9581 8.9581 8.9581 Å, 58.05 58.05 58.05°
Fractional positions:
Ti 0.1480 0.1480 0.1480
Ti 0.3520 0.3520 0.3520
Ti 0.6480 0.6480 0.6480
Ti 0.8520 0.8520 0.8520
Sb 0.0000 0.0000 0.0000
Sb 0.5000 0.5000 0.5000
P 0.0408 0.7500 0.4592
P 0.2500 0.5408 0.9592
P 0.4592 0.0408 0.7500
P 0.5408 0.9592 0.2500
P 0.7500 0.4592 0.0408
P 0.9592 0.2500 0.5408
O 0.0051 0.8006 0.6174
O 0.0626 0.9186 0.2698
O 0.0814 0.7302 0.9374
O 0.1174 0.3006 0.5051
O 0.1994 0.3826 0.9949
O 0.2302 0.5814 0.4374
O 0.2698 0.0626 0.9186
O 0.3006 0.5051 0.1174
O 0.3826 0.9949 0.1994
O 0.4186 0.5626 0.7698
O 0.4374 0.2302 0.5814
O 0.4949 0.8826 0.6994
O 0.5051 0.1174 0.3006
O 0.5626 0.7698 0.4186
O 0.5814 0.4374 0.2302
O 0.6174 0.0051 0.8006
O 0.6994 0.4949 0.8826
O 0.7302 0.9374 0.0814
O 0.7698 0.4186 0.5626
O 0.8006 0.6174 0.0051
O 0.8826 0.6994 0.4949
O 0.9186 0.2698 0.0626
O 0.9374 0.0814 0.7302
O 0.9949 0.1994 0.3826

BaCaCeHfO6: computed powder diffraction line list (a wavelength of 1.5418 Å), based on a crystal structure in the Materials Project, relaxed with PBE.
Peak positions follow from Bragg's law for the DFT cell and can differ from measured ones.

Most intense lines, 2θ = 10–80°, sorted by position:
29.71 deg, intensity 93
29.81 deg, intensity 100
29.92 deg, intensity 45
30.04 deg, intensity 46
42.77 deg, intensity 49
53.10 deg, intensity 32

Structural model:
Cell: 5.9494 6.0108 8.4973 Å, 89.70 89.68 89.98°
Fractional positions:
Ba 0.0061 0.0295 0.2498
Ba 0.9939 0.9705 0.7502
Ca 0.4930 0.5360 0.2473
Ca 0.5070 0.4640 0.7527
Ce 0.0000 0.5000 0.0000
Ce 0.5000 0.0000 0.5000
Hf 0.0000 0.5000 0.5000
Hf 0.5000 0.0000 0.0000
O 0.1029 0.4965 0.7394
O 0.2030 0.7794 0.4677
O 0.2195 0.7970 0.0270
O 0.2842 0.3048 0.4395
O 0.3093 0.2885 0.0573
O 0.4382 0.0623 0.7603
O 0.5618 0.9377 0.2397
O 0.6907 0.7115 0.9427
O 0.7158 0.6952 0.5605
O 0.7805 0.2030 0.9730
O 0.7970 0.2206 0.5323
O 0.8971 0.5035 0.2606